Diffraction record for AcMgAsO5. The XRD peak list is simulated, not measured: it uses a crystal structure in Alexandria, relaxed with PBE and a wavelength of 1.5418 Å.

Crystal structure
a = 8.839 Å, b = 9.173 Å, c = 8.338 Å
α = 90.00°, β = 118.36°, γ = 90.00°
Space group C2/c (No. 15)
One atom of each set of equivalent atoms:
Ac 0.000 0.000 0.000 x4
Mg 0.000 0.329 0.250 x4
As 0.000 0.374 0.750 x4
O 0.000 0.124 0.250 x4
O 0.002 0.270 0.581 x8
O 0.167 0.498 0.336 x8

Main lines, most intense first (15 to 90 degrees two-theta):
3.796 Å, 2θ = 23.44°, I 100, hkl 1 1 -2; 3.889 Å, 2θ = 22.87°, I 80, hkl 2 0 0; 1.945 Å, 2θ = 46.69°, I 47, hkl 4 0 0; 2.868 Å, 2θ = 31.19°, I 41, hkl 0 2 2; 2.846 Å, 2θ = 31.44°, I 41, hkl 1 3 0; 4.587 Å, 2θ = 19.35°, I 34, hkl 0 2 0; 2.721 Å, 2θ = 32.92°, I 29, hkl 3 1 -2; 2.712 Å, 2θ = 33.03°, I 29, hkl 1 1 2; 1.977 Å, 2θ = 45.89°, I 23, hkl 3 3 0; 2.085 Å, 2θ = 43.41°, I 18, hkl 2 0 -4

Diffraction record for MnH2. The XRD peak list is simulated, not measured: it uses a crystal structure in Alexandria, relaxed with PBE and a wavelength of 1.5418 Å.

Crystal structure
a = 2.6915 Å, b = 2.6915 Å, c = 10.6883 Å
α = 90.00°, β = 90.00°, γ = 120.00°
Space group R-3m (No. 166, hexagonal axes)
One atom of each set of equivalent atoms:
Mn 0.0000 0.0000 0.0000 x3
H 0.0000 0.0000 0.4092 x6

Main lines, most intense first (15 to 90 degrees two-theta):
3.563 Å, 2θ = 24.99°, I 100, hkl 0 0 3; 2.277 Å, 2θ = 39.57°, I 76, hkl 1 0 1; 2.137 Å, 2θ = 42.30°, I 70, hkl 0 1 2; 1.757 Å, 2θ = 52.07°, I 33, hkl 1 0 4; 1.575 Å, 2θ = 58.59°, I 25, hkl 0 1 5; 1.259 Å, 2θ = 75.52°, I 21, hkl 1 1 3; 1.159 Å, 2θ = 83.40°, I 15, hkl 0 1 8; 1.346 Å, 2θ = 69.90°, I 14, hkl 1 1 0; 1.781 Å, 2θ = 51.29°, I 11, hkl 0 0 6; 1.277 Å, 2θ = 74.25°, I 11, hkl 1 0 7

Diffraction record for Bi2IF2. The XRD peak list is simulated, not measured: it uses a crystal structure in Alexandria, relaxed with PBE and a wavelength of 1.5418 Å.

Crystal structure
a = 6.273 Å, b = 6.273 Å, c = 15.677 Å
α = 90.00°, β = 90.00°, γ = 90.00°
Space group I4_1md (No. 109)
One atom of each set of equivalent atoms:
Bi 0.000 0.238 0.000 x8
I 0.000 0.000 0.527 x4
F 0.000 0.282 0.141 x8

Main lines, most intense first (15 to 90 degrees two-theta):
2.912 Å, 2θ = 30.70°, I 100, hkl 2 0 2; 5.824 Å, 2θ = 15.21°, I 99, hkl 1 0 1; 2.761 Å, 2θ = 32.42°, I 80, hkl 2 1 1; 3.919 Å, 2θ = 22.69°, I 73, hkl 0 0 4; 2.472 Å, 2θ = 36.35°, I 60, hkl 2 1 3; 2.007 Å, 2θ = 45.17°, I 41, hkl 2 0 6; 3.860 Å, 2θ = 23.04°, I 30, hkl 1 1 2; 2.805 Å, 2θ = 31.91°, I 28, hkl 1 0 5; 1.750 Å, 2θ = 52.27°, I 26, hkl 2 1 7; 1.729 Å, 2θ = 52.95°, I 24, hkl 3 2 1

Diffraction record for Nd4Dy4Y5. The XRD peak list is simulated, not measured: it uses a crystal structure in Alexandria, relaxed with PBE and a wavelength of 1.5418 Å.

Crystal structure
a = 12.973 Å, b = 12.973 Å, c = 5.083 Å
α = 90.00°, β = 90.00°, γ = 90.00°
Space group I4/m (No. 87)
One atom of each set of equivalent atoms:
Nd 0.078 0.383 0.000 x8
Dy 0.154 0.770 0.000 x8
Y 0.000 0.000 0.000 x2
Y 0.039 0.191 0.500 x8

Main lines, most intense first (15 to 90 degrees two-theta):
2.937 Å, 2θ = 30.44°, I 100, hkl 3 2 1; 2.543 Å, 2θ = 35.29°, I 50, hkl 1 5 0; 1.534 Å, 2θ = 60.35°, I 42, hkl 3 2 3; 1.798 Å, 2θ = 50.77°, I 36, hkl 6 4 0; 1.167 Å, 2θ = 82.70°, I 17, hkl 8 1 3; 1.137 Å, 2θ = 85.35°, I 16, hkl 1 5 4; 1.468 Å, 2θ = 63.34°, I 12, hkl 6 4 2; 1.272 Å, 2θ = 74.64°, I 6, hkl 0 0 4; 3.823 Å, 2θ = 23.27°, I 2, hkl 2 1 1; 4.732 Å, 2θ = 18.75°, I 1, hkl 1 0 1

Diffraction record for Sm2Cl2O. The XRD peak list is simulated, not measured: it uses a crystal structure in Alexandria, relaxed with PBE and a wavelength of 1.5418 Å.

Crystal structure
a = 4.237 Å, b = 4.237 Å, c = 13.340 Å
α = 90.00°, β = 90.00°, γ = 90.00°
Space group P4/mmm (No. 123)
One atom of each set of equivalent atoms:
Sm 0.000 0.000 0.159 x2
Cl 0.000 0.000 0.348 x2
O 0.000 0.000 0.000 x1

Main lines, most intense first (15 to 90 degrees two-theta):
4.237 Å, 2θ = 20.97°, I 100, hkl 1 0 0; 2.996 Å, 2θ = 29.82°, I 41, hkl 1 1 0; 3.068 Å, 2θ = 29.11°, I 25, hkl 1 0 3; 1.786 Å, 2θ = 51.14°, I 22, hkl 1 1 6; 1.969 Å, 2θ = 46.10°, I 21, hkl 1 0 6; 4.038 Å, 2θ = 22.01°, I 21, hkl 1 0 1; 1.895 Å, 2θ = 48.01°, I 21, hkl 2 1 0; 2.621 Å, 2θ = 34.22°, I 20, hkl 1 0 4; 4.447 Å, 2θ = 19.97°, I 15, hkl 0 0 3; 2.119 Å, 2θ = 42.68°, I 15, hkl 2 0 0

Diffraction record for Li2PrY3Se6. The XRD peak list is simulated, not measured: it uses a crystal structure in Alexandria, relaxed with PBE and a wavelength of 1.5418 Å.

Crystal structure
a = 7.068 Å, b = 12.239 Å, c = 7.124 Å
α = 90.00°, β = 109.45°, γ = 90.00°
Space group C2/m (No. 12)
One atom of each set of equivalent atoms:
Li 0.000 0.169 0.000 x4
Pr 0.000 0.500 0.000 x2
Y 0.000 0.000 0.500 x2
Y 0.000 0.336 0.500 x4
Se 0.238 0.000 0.248 x4
Se 0.245 0.172 0.750 x8

Main lines, most intense first (15 to 90 degrees two-theta):
2.893 Å, 2θ = 30.91°, I 100, hkl 1 3 1; 2.051 Å, 2θ = 44.15°, I 37, hkl 2 0 2; 2.040 Å, 2θ = 44.40°, I 36, hkl 0 6 0; 1.667 Å, 2θ = 55.08°, I 19, hkl 4 0 0; 1.291 Å, 2θ = 73.33°, I 15, hkl 5 3 -3; 1.297 Å, 2θ = 72.92°, I 11, hkl 3 3 -5; 1.178 Å, 2θ = 81.73°, I 10, hkl 5 3 1; 1.181 Å, 2θ = 81.54°, I 8, hkl 4 6 -4; 1.446 Å, 2θ = 64.46°, I 8, hkl 2 6 2; 5.853 Å, 2θ = 15.14°, I 7, hkl 1 1 0

Diffraction record for Na4Np2Cl9. The XRD peak list is simulated, not measured: it uses a crystal structure in Alexandria, relaxed with PBE and a wavelength of 1.5418 Å.

Crystal structure
a = 12.310 Å, b = 7.194 Å, c = 19.109 Å
α = 90.00°, β = 90.28°, γ = 90.00°
Space group C2/c (No. 15)
One atom of each set of equivalent atoms:
Na 0.166 0.003 0.179 x8
Na 0.167 0.001 0.484 x8
Np 0.001 0.499 0.652 x8
Cl 0.000 0.204 0.250 x4
Cl 0.014 0.159 0.584 x8
Cl 0.149 0.340 0.751 x8
Cl 0.164 0.308 0.085 x8
Cl 0.177 0.347 0.414 x8

Main lines, most intense first (15 to 90 degrees two-theta):
3.785 Å, 2θ = 23.50°, I 100, hkl 1 1 4; 5.207 Å, 2θ = 17.03°, I 48, hkl 1 1 -2; 3.109 Å, 2θ = 28.71°, I 43, hkl 2 2 0; 2.834 Å, 2θ = 31.57°, I 41, hkl 1 1 -6; 3.564 Å, 2θ = 24.98°, I 41, hkl 3 1 0; 2.070 Å, 2θ = 43.72°, I 41, hkl 3 3 0; 2.605 Å, 2θ = 34.43°, I 39, hkl 2 2 -4; 2.385 Å, 2θ = 37.73°, I 37, hkl 0 2 6; 2.370 Å, 2θ = 37.97°, I 34, hkl 3 1 6; 2.380 Å, 2θ = 37.80°, I 33, hkl 3 1 -6

Diffraction record for BaZn6Si2. The XRD peak list is simulated, not measured: it uses a crystal structure in Alexandria, relaxed with PBE and a wavelength of 1.5418 Å.

Crystal structure
a = 4.336 Å, b = 4.336 Å, c = 8.805 Å
α = 90.00°, β = 90.00°, γ = 90.00°
Space group P4/mmm (No. 123)
One atom of each set of equivalent atoms:
Ba 0.000 0.000 0.000 x1
Zn 0.000 0.000 0.500 x1
Zn 0.000 0.500 0.311 x4
Zn 0.500 0.500 0.500 x1
Si 0.500 0.500 0.154 x2

Main lines, most intense first (15 to 90 degrees two-theta):
2.516 Å, 2θ = 35.68°, I 100, hkl 1 1 2; 2.168 Å, 2θ = 41.65°, I 58, hkl 2 0 0; 2.120 Å, 2θ = 42.64°, I 30, hkl 1 1 3; 1.309 Å, 2θ = 72.15°, I 24, hkl 3 1 2; 3.089 Å, 2θ = 28.90°, I 19, hkl 1 0 2; 1.533 Å, 2θ = 60.37°, I 18, hkl 2 2 0; 2.431 Å, 2θ = 36.98°, I 15, hkl 1 0 3; 3.890 Å, 2θ = 22.86°, I 14, hkl 1 0 1; 1.215 Å, 2θ = 78.74°, I 12, hkl 2 0 6; 2.896 Å, 2θ = 30.88°, I 11, hkl 1 1 1